1.
Sn5P6O25: simulated X-ray powder pattern (Cu Kα X-rays), based on a crystal structure in Alexandria, relaxed with PBE.

Largest 10 diffraction maxima, in order of rising 2θ, 2θ from 5° to 70°:
Position (°2θ)  Rel. int.
10.00  42
20.61  74
20.85  100
23.17  56
26.43  28
29.49  64
36.40  29
36.53  34
40.14  33
57.16  39

Crystal structure
Cell: 10.1214 10.1214 10.1214 Å, 49.79 49.79 49.79°
Atoms (fractional coordinates):
Sn  0.0000  0.0000  0.0000
Sn  0.1744  0.1744  0.1744
Sn  0.4284  0.4284  0.4284
Sn  0.5716  0.5716  0.5716
Sn  0.8256  0.8256  0.8256
P  0.0638  0.3830  0.8220
P  0.1780  0.9362  0.6170
P  0.3830  0.8220  0.0638
P  0.6170  0.1780  0.9362
P  0.8220  0.0638  0.3830
P  0.9362  0.6170  0.1780
O  0.0414  0.7287  0.0996
O  0.0842  0.4381  0.1401
O  0.0991  0.7864  0.7269
O  0.0996  0.0414  0.7287
O  0.1401  0.0842  0.4381
O  0.1727  0.4326  0.6022
O  0.2136  0.2731  0.9009
O  0.2713  0.9004  0.9586
O  0.2731  0.9009  0.2136
O  0.3978  0.8273  0.5674
O  0.4326  0.6022  0.1727
O  0.4381  0.1401  0.0842
O  0.5000  0.5000  0.5000
O  0.5619  0.8599  0.9158
O  0.5674  0.3978  0.8273
O  0.6022  0.1727  0.4326
O  0.7269  0.0991  0.7864
O  0.7287  0.0996  0.0414
O  0.7864  0.7269  0.0991
O  0.8273  0.5674  0.3978
O  0.8599  0.9158  0.5619
O  0.9004  0.9586  0.2713
O  0.9009  0.2136  0.2731
O  0.9158  0.5619  0.8599
O  0.9586  0.2713  0.9004


2.
Pa2Ge2IrN2: simulated X-ray powder pattern (Cu Kα X-rays), based on a crystal structure in Alexandria, relaxed with PBE.

Largest 10 diffraction maxima, in order of rising 2θ, 2θ from 5° to 70°:
Position (°2θ)  Rel. int.
7.51  100
28.66  34
31.59  60
36.01  44
41.51  16
47.81  14
48.83  26
59.33  10
62.18  14
63.65  12

Crystal structure
Cell: 3.7301 3.7301 11.7716 Å, 90.00 90.00 120.00°
Atoms (fractional coordinates):
Pa  0.3333  0.6667  0.3339
Pa  0.6667  0.3333  0.6661
Ge  0.0000  0.0000  0.1061
Ge  0.0000  0.0000  0.8939
Ir  0.0000  0.0000  0.5000
N  0.3333  0.6667  0.7099
N  0.6667  0.3333  0.2901